The following is a computed X-ray diffraction stick pattern of K6CdO. It was derived from a structure optimized by DFT (PBE), using a wavelength of 1.5418 Å.
Kinematic intensities with the Lorentz-polarization factor, no thermal factor.

Top 10 peaks for 5° ≤ 2θ ≤ 70°, sorted by position:
- d = 6.571 Å, rel. 25.1
- d = 5.685 Å, rel. 48.2
- d = 5.649 Å, rel. 36.7
- d = 3.592 Å, rel. 39.9
- d = 3.446 Å, rel. 70.6
- d = 3.287 Å, rel. 100.0
- d = 3.237 Å, rel. 86.7
- d = 3.136 Å, rel. 84.8
- d = 2.535 Å, rel. 32.3
- d = 2.129 Å, rel. 31.5

Crystal structure
a b c (Å): 8.0327 8.0327 14.3659
angles (deg): 102.78 102.78 55.48
Sites, in units of the cell vectors:
K  0.0133  0.8108  0.6070
K  0.1165  0.3274  0.6583
K  0.1892  0.9867  0.8930
K  0.3228  0.3836  0.9743
K  0.3274  0.1165  0.1583
K  0.3836  0.3228  0.4743
K  0.6164  0.6772  0.5257
K  0.6726  0.8835  0.8417
K  0.6772  0.6164  0.0257
K  0.8108  0.0133  0.1070
K  0.8835  0.6726  0.3417
K  0.9867  0.1892  0.3930
Cd  0.3871  0.6129  0.2500
Cd  0.6129  0.3871  0.7500
O  0.0000  0.5000  0.5000
O  0.5000  0.0000  0.0000

---

The following is a computed X-ray diffraction stick pattern of Na8Cd2Pb. It was derived from a structure optimized by DFT (PBE), using a wavelength of 1.5418 Å.
Kinematic intensities with the Lorentz-polarization factor, no thermal factor.

Top 10 peaks for 5° ≤ 2θ ≤ 70°, sorted by position:
- d = 7.643 Å, rel. 25.6
- d = 4.524 Å, rel. 100.0
- d = 4.394 Å, rel. 43.5
- d = 4.227 Å, rel. 30.1
- d = 4.033 Å, rel. 29.1
- d = 3.727 Å, rel. 41.4
- d = 2.885 Å, rel. 43.5
- d = 2.781 Å, rel. 84.3
- d = 2.732 Å, rel. 41.9
- d = 2.695 Å, rel. 31.0

Crystal structure
a b c (Å): 5.4646 8.0743 8.9179
angles (deg): 114.56 107.71 90.04
Sites, in units of the cell vectors:
Na  0.0000  0.0000  0.0000
Na  0.0424  0.4556  0.0832
Na  0.1800  0.9283  0.3584
Na  0.3511  0.8153  0.7027
Na  0.3929  0.2851  0.7854
Na  0.6410  0.1593  0.2813
Na  0.6836  0.6121  0.3672
Na  0.8538  0.5120  0.7082
Cd  0.5176  0.7198  0.0352
Cd  0.8195  0.0545  0.6384
Pb  0.2183  0.3829  0.4364

---

The following is a computed X-ray diffraction stick pattern of Pr2Zn2Ir. It was derived from a structure optimized by DFT (PBE), using a wavelength of 1.5418 Å.
Kinematic intensities with the Lorentz-polarization factor, no thermal factor.

Top 10 peaks for 5° ≤ 2θ ≤ 70°, sorted by position:
- d = 2.835 Å, rel. 54.4
- d = 2.813 Å, rel. 81.1
- d = 2.735 Å, rel. 100.0
- d = 2.623 Å, rel. 30.1
- d = 2.326 Å, rel. 65.8
- d = 2.292 Å, rel. 25.2
- d = 2.048 Å, rel. 25.4
- d = 2.026 Å, rel. 41.1
- d = 1.499 Å, rel. 28.4
- d = 1.483 Å, rel. 32.4

Crystal structure
a b c (Å): 6.0239 6.0239 11.8219
angles (deg): 115.72 115.72 39.31
Sites, in units of the cell vectors:
Pr  0.0733  0.0733  0.3623
Pr  0.2077  0.2077  0.1181
Pr  0.7923  0.7923  0.8819
Pr  0.9267  0.9267  0.6377
Zn  0.3797  0.3797  0.4145
Zn  0.4905  0.4905  0.1149
Zn  0.5095  0.5095  0.8851
Zn  0.6203  0.6203  0.5855
Ir  0.2702  0.2702  0.6919
Ir  0.7298  0.7298  0.3081

---

The following is a computed X-ray diffraction stick pattern of Ag5C3. It was derived from a structure optimized by DFT (PBE), using a wavelength of 1.5418 Å.
Kinematic intensities with the Lorentz-polarization factor, no thermal factor.

Top 10 peaks for 5° ≤ 2θ ≤ 70°, sorted by position:
- d = 3.255 Å, rel. 49.8
- d = 2.867 Å, rel. 47.7
- d = 2.796 Å, rel. 58.3
- d = 2.606 Å, rel. 41.2
- d = 2.405 Å, rel. 32.7
- d = 2.255 Å, rel. 76.6
- d = 2.113 Å, rel. 99.6
- d = 2.009 Å, rel. 100.0
- d = 1.977 Å, rel. 30.5
- d = 1.427 Å, rel. 30.7

Crystal structure
a b c (Å): 6.8782 6.8782 6.8782
angles (deg): 100.00 100.00 130.74
Sites, in units of the cell vectors:
Ag  0.0000  0.5000  0.5000
Ag  0.0346  0.1843  0.7187
Ag  0.1843  0.4656  0.1497
Ag  0.3159  0.0346  0.8503
Ag  0.4656  0.3159  0.2813
Ag  0.5000  0.0000  0.5000
Ag  0.5346  0.8159  0.8503
Ag  0.6843  0.5346  0.7187
Ag  0.8159  0.9656  0.2813
Ag  0.9656  0.6843  0.1497
C  0.0005  0.0005  0.0000
C  0.0838  0.9193  0.5000
C  0.4193  0.5838  0.5000
C  0.5005  0.5005  0.0000
C  0.5838  0.0838  0.1645
C  0.9193  0.4193  0.8355

---

The following is a computed X-ray diffraction stick pattern of PmY3. It was derived from a structure optimized by DFT (PBE), using a wavelength of 1.5418 Å.
Kinematic intensities with the Lorentz-polarization factor, no thermal factor.

Top 10 peaks for 5° ≤ 2θ ≤ 70°, sorted by position:
- d = 5.072 Å, rel. 1.6
- d = 4.543 Å, rel. 5.0
- d = 2.932 Å, rel. 100.0
- d = 2.815 Å, rel. 1.6
- d = 2.539 Å, rel. 50.2
- d = 2.217 Å, rel. 1.7
- d = 1.885 Å, rel. 1.6
- d = 1.795 Å, rel. 35.0
- d = 1.531 Å, rel. 41.1
- d = 1.466 Å, rel. 11.8

Crystal structure
a b c (Å): 6.2160 6.2160 6.2160
angles (deg): 131.75 131.75 70.62
Sites, in units of the cell vectors:
Pm  0.0000  0.0000  0.0000
Y  0.2500  0.7500  0.5000
Y  0.5000  0.5000  0.0000
Y  0.7500  0.2500  0.5000

---

The following is a computed X-ray diffraction stick pattern of In6S7. It was derived from a structure optimized by DFT (PBE), using a wavelength of 1.5418 Å.
Kinematic intensities with the Lorentz-polarization factor, no thermal factor.

Top 10 peaks for 5° ≤ 2θ ≤ 70°, sorted by position:
- d = 4.422 Å, rel. 54.9
- d = 3.589 Å, rel. 88.9
- d = 3.230 Å, rel. 75.7
- d = 3.048 Å, rel. 47.7
- d = 2.860 Å, rel. 64.1
- d = 2.798 Å, rel. 79.5
- d = 2.616 Å, rel. 100.0
- d = 2.388 Å, rel. 39.0
- d = 2.313 Å, rel. 67.7
- d = 1.970 Å, rel. 72.0

Crystal structure
a b c (Å): 9.2386 3.9404 17.5299
angles (deg): 90.00 102.21 90.00
Sites, in units of the cell vectors:
In  0.0243  0.2500  0.1028
In  0.0727  0.2500  0.6236
In  0.1821  0.7500  0.3125
In  0.3271  0.2500  0.9684
In  0.3556  0.7500  0.5466
In  0.4751  0.2500  0.7769
In  0.5249  0.7500  0.2231
In  0.6444  0.2500  0.4534
In  0.6729  0.7500  0.0316
In  0.8179  0.2500  0.6875
In  0.9274  0.7500  0.3764
In  0.9757  0.7500  0.8972
S  0.1144  0.2500  0.8486
S  0.1666  0.2500  0.4966
S  0.1689  0.7500  0.0325
S  0.2394  0.2500  0.2289
S  0.2506  0.7500  0.6760
S  0.4419  0.7500  0.4104
S  0.4632  0.7500  0.9105
S  0.5368  0.2500  0.0895
S  0.5581  0.2500  0.5896
S  0.7494  0.2500  0.3240
S  0.7606  0.7500  0.7711
S  0.8311  0.2500  0.9675
S  0.8334  0.7500  0.5034
S  0.8856  0.7500  0.1514